1.
# Y2BeGaC
Simulated PXRD pattern, Cu Kα (λ = 1.5418 Å). Input: a PBE-relaxed structure.
Intensities are scaled so that the largest is 100.

Peak list (10 most intense, 10° ≤ 2θ ≤ 80°, sorted by position)
| 2θ (°) | d/Å | intensity | h k l |
| --- | --- | --- | --- |
| 27.06 | 3.295 | 27 | 0 1 1 |
| 28.54 | 3.127 | 22 | 1 1 0 |
| 28.93 | 3.086 | 60 | 2 0 0 |
| 30.43 | 2.937 | 18 | 2 0 -2 |
| 33.55 | 2.671 | 100 | 0 1 2 |
| 34.13 | 2.627 | 26 | 0 0 3 |
| 37.05 | 2.427 | 21 | 2 0 -3 |
| 38.29 | 2.350 | 22 | 2 1 0 |
| 39.47 | 2.283 | 20 | 2 1 -2 |
| 50.31 | 1.814 | 18 | 0 2 0 |

Structure:
```
data_Y2BeGaC
_symmetry_space_group_name_H-M 'P 1 21/m 1'
_symmetry_Int_Tables_number 11
_cell_length_a 6.527
_cell_length_b 3.627
_cell_length_c 8.336
_cell_angle_alpha 90.00
_cell_angle_beta 108.99
_cell_angle_gamma 90.00
loop_
_symmetry_equiv_pos_as_xyz
'x,y,z'
'-x,-y,-z'
'-x,y+1/2,-z'
'x,-y+1/2,z'
loop_
_atom_site_label
_atom_site_type_symbol
_atom_site_fract_x
_atom_site_fract_y
_atom_site_fract_z
_atom_site_occupancy
Y1 Y 0.201 0.250 0.381 1
Y2 Y 0.213 0.250 0.970 1
Be1 Be 0.447 0.750 0.244 1
Ga1 Ga 0.311 0.750 0.698 1
C1 C 0.176 0.750 0.171 1
```



2.
# La6Au2Cl
Simulated PXRD pattern, Cu Kα (λ = 1.5418 Å). Input: a PBE-relaxed structure.
Intensities are scaled so that the largest is 100.

Peak list (10 most intense, 10° ≤ 2θ ≤ 80°, sorted by position)
| 2θ (°) | d/Å | intensity | h k l |
| --- | --- | --- | --- |
| 27.70 | 3.220 | 65 | 1 2 0 |
| 28.19 | 3.166 | 66 | 1 0 -4 |
| 28.47 | 3.135 | 56 | 0 2 2 |
| 29.29 | 3.049 | 100 | 2 1 -1 |
| 30.13 | 2.966 | 58 | 1 1 2 |
| 30.52 | 2.929 | 61 | 1 1 -4 |
| 31.19 | 2.868 | 65 | 1 2 1 |
| 34.12 | 2.628 | 71 | 0 2 3 |
| 37.32 | 2.410 | 53 | 1 3 -1 |
| 50.86 | 1.795 | 55 | 0 0 6 |

Structure:
```
data_La6Au2Cl
_symmetry_space_group_name_H-M 'P 1 21/c 1'
_symmetry_Int_Tables_number 14
_cell_length_a 6.940
_cell_length_b 7.708
_cell_length_c 12.715
_cell_angle_alpha 90.00
_cell_angle_beta 122.06
_cell_angle_gamma 90.00
loop_
_symmetry_equiv_pos_as_xyz
'x,y,z'
'-x,-y,-z'
'-x,y+1/2,-z+1/2'
'x,-y+1/2,z+1/2'
loop_
_atom_site_label
_atom_site_type_symbol
_atom_site_fract_x
_atom_site_fract_y
_atom_site_fract_z
_atom_site_occupancy
La1 La 0.082 0.194 0.433 1
La2 La 0.266 0.666 0.435 1
La3 La 0.409 0.035 0.246 1
Au1 Au 0.164 0.120 0.741 1
Cl1 Cl 0.500 0.000 0.500 1
```



3.
# Er2ScP3Rh12
Simulated PXRD pattern, Cu Kα (λ = 1.5418 Å). Input: a PBE-relaxed structure.
Intensities are scaled so that the largest is 100.

Peak list (10 most intense, 10° ≤ 2θ ≤ 80°, sorted by position)
| 2θ (°) | d/Å | intensity | h k l |
| --- | --- | --- | --- |
| 13.47 | 6.574 | 17 | 1 0 1 |
| 20.76 | 4.279 | 13 | 0 0 3 |
| 36.54 | 2.459 | 49 | 0 2 4 |
| 36.93 | 2.434 | 19 | 0 1 5 |
| 40.84 | 2.209 | 100 | 2 2 0 |
| 42.40 | 2.132 | 20 | 2 0 5 |
| 47.34 | 1.920 | 15 | 1 2 5 |
| 55.95 | 1.643 | 13 | 4 0 4 |
| 71.55 | 1.319 | 11 | 2 4 4 |
| 74.36 | 1.276 | 15 | 6 0 0 |

Structure:
```
data_Er2ScP3Rh12
_symmetry_space_group_name_H-M 'R -3 m'
_symmetry_Int_Tables_number 166
_symmetry_space_group_name_Hall '-R 3 2"'
_cell_length_a 8.8379
_cell_length_b 8.8379
_cell_length_c 12.8360
_cell_angle_alpha 90.00
_cell_angle_beta 90.00
_cell_angle_gamma 120.00
loop_
_atom_site_label
_atom_site_type_symbol
_atom_site_fract_x
_atom_site_fract_y
_atom_site_fract_z
_atom_site_occupancy
Er1 Er 0.0000 0.0000 0.1271 1
Sc1 Sc 0.0000 0.0000 0.5000 1
P1 P 0.0000 0.5000 0.0000 1
Rh1 Rh 0.0063 0.5032 0.8259 1
Rh2 Rh 0.0246 0.5123 0.3823 1
```



4.
# Hf5CuSb3
Simulated PXRD pattern, Cu Kα (λ = 1.5418 Å). Input: a PBE-relaxed structure.
Intensities are scaled so that the largest is 100.

Peak list (10 most intense, 10° ≤ 2θ ≤ 80°, sorted by position)
| 2θ (°) | d/Å | intensity | h k l |
| --- | --- | --- | --- |
| 31.91 | 2.804 | 16 | 2 1 0 |
| 35.60 | 2.522 | 77 | 2 1 1 |
| 36.32 | 2.473 | 78 | 3 0 0 |
| 37.60 | 2.392 | 100 | 1 1 2 |
| 46.88 | 1.938 | 12 | 3 1 1 |
| 53.28 | 1.719 | 28 | 2 2 2 |
| 56.36 | 1.633 | 15 | 3 2 1 |
| 58.18 | 1.586 | 19 | 2 1 3 |
| 72.85 | 1.298 | 12 | 5 1 1 |
| 76.47 | 1.246 | 18 | 3 0 4 |

Structure:
```
data_Hf5CuSb3
_symmetry_space_group_name_H-M 'P 63/m c m'
_symmetry_Int_Tables_number 193
_symmetry_space_group_name_Hall '-P 6c 2'
_cell_length_a 8.5674
_cell_length_b 8.5674
_cell_length_c 5.7673
_cell_angle_alpha 90.00
_cell_angle_beta 90.00
_cell_angle_gamma 120.00
loop_
_atom_site_label
_atom_site_type_symbol
_atom_site_fract_x
_atom_site_fract_y
_atom_site_fract_z
_atom_site_occupancy
Hf1 Hf 0.0000 0.2638 0.2500 1
Hf2 Hf 0.3333 0.6667 0.0000 1
Cu1 Cu 0.0000 0.0000 0.0000 1
Sb1 Sb 0.0000 0.3858 0.7500 1
```